# RbFeSe2O7
Computed powder diffractogram, CuKα. Input: a DFT-relaxed cell (GGA+U, the Materials Project).
Lines closer than 0.1° are merged.

Structure:
a b c (Å): 14.348 14.348 14.348
angles (deg): 22.18 22.18 22.18
Sites, in units of the cell vectors:
Rb 0.000 0.000 0.000
Rb 0.500 0.500 0.500
Fe 0.099 0.099 0.099
Fe 0.901 0.901 0.901
Se 0.228 0.228 0.228
Se 0.386 0.386 0.386
Se 0.614 0.614 0.614
Se 0.772 0.772 0.772
O 0.049 0.049 0.528
O 0.049 0.528 0.049
O 0.234 0.234 0.731
O 0.234 0.731 0.234
O 0.269 0.766 0.766
O 0.347 0.347 0.347
O 0.472 0.951 0.951
O 0.528 0.049 0.049
O 0.653 0.653 0.653
O 0.731 0.234 0.234
O 0.766 0.269 0.766
O 0.766 0.766 0.269
O 0.951 0.472 0.951
O 0.951 0.951 0.472

Main lines, by angle (2θ from 15° to 90°):
2θ (°)  Rel. int.
21.39  21.4
23.80  56.8
25.20  96.8
28.30  62.0
32.44  100.0
38.62  21.4
41.52  27.8
51.29  33.6
53.65  24.4
67.92  20.6

***

# RbFeSe2O8
Computed powder diffractogram, CuKα. Input: a DFT-relaxed cell (GGA+U, the Materials Project).
Lines closer than 0.1° are merged.

Structure:
a b c (Å): 5.262 5.262 8.888
angles (deg): 90.00 90.00 120.00
Sites, in units of the cell vectors:
Rb 0.000 0.000 0.000
Fe 0.000 0.000 0.500
Se 0.333 0.667 0.707
Se 0.667 0.333 0.293
O 0.085 0.329 0.646
O 0.244 0.915 0.646
O 0.329 0.085 0.354
O 0.333 0.667 0.892
O 0.667 0.333 0.108
O 0.671 0.756 0.646
O 0.756 0.671 0.354
O 0.915 0.244 0.354

Main lines, by angle (2θ from 15° to 90°):
2θ (°)  Rel. int.
21.92  100.0
28.05  84.2
30.17  12.5
34.08  49.5
44.70  23.5
45.41  15.4
54.02  14.1
54.25  14.8
57.38  22.0
61.00  11.9